# 1
# Dy2Y2CI4Br
Theoretical X-ray diffraction stick pattern, a wavelength of 1.5418 Å. Input: the GGA-PBE geometry in OQMD.
Neutral-atom scattering factors, no anomalous dispersion.

Structural model:
```
10
Lattice="9.5808 -1.9648 0.0000 9.5808 1.9648 0.0000 -1.7613 0.0000 8.1667" Properties=species:S:1:pos:R:3 pbc="T T T"
Dy 2.3390 0.0000 0.5215
Dy 15.0613 0.0000 7.6452
Y 9.2204 0.0000 1.6103
Y 8.1800 0.0000 6.5564
C 0.0000 0.0000 0.0000
I 6.0605 0.0000 1.5057
I 5.3222 0.0000 5.3333
I 12.0782 0.0000 2.8334
I 11.3399 0.0000 6.6611
Br -0.8806 0.0000 4.0834
```

Principal peaks in the range 15 to 90 degrees two-theta, in order of rising 2θ:
- 2θ 18.95, I 15
- 2θ 28.59, I 38
- 2θ 30.13, I 21
- 2θ 31.25, I 100
- 2θ 33.04, I 21
- 2θ 33.19, I 13
- 2θ 42.75, I 22
- 2θ 42.98, I 21
- 2θ 43.32, I 16
- 2θ 46.20, I 18

# 2
# SmDyC2Br2
Theoretical X-ray diffraction stick pattern, a wavelength of 1.5418 Å. Input: the GGA-PBE geometry in OQMD.
Neutral-atom scattering factors, no anomalous dispersion.

Structural model:
```
12
Lattice="7.1319 0.0000 0.0000 0.0000 3.8377 0.0000 -1.7451 0.0000 10.8303" Properties=species:S:1:pos:R:3 pbc="T T T"
Sm 0.0000 0.0000 0.0000
Sm 3.5660 1.9189 0.0000
Dy 1.7311 1.9189 2.9279
Dy 5.2971 0.0000 2.9279
C 2.0968 0.0000 1.1572
C 3.2169 0.0000 1.8729
C 5.6627 1.9189 1.1572
C 6.7828 1.9189 1.8729
Br -0.6140 1.9189 8.9064
Br 0.6262 0.0000 4.7944
Br 2.9520 0.0000 8.9064
Br 4.1922 1.9189 4.7944
```

Principal peaks in the range 15 to 90 degrees two-theta, in order of rising 2θ:
- 2θ 26.45, I 41
- 2θ 27.11, I 33
- 2θ 27.87, I 94
- 2θ 30.15, I 74
- 2θ 32.34, I 47
- 2θ 32.46, I 34
- 2θ 32.58, I 35
- 2θ 35.02, I 100
- 2θ 44.49, I 56
- 2θ 44.91, I 48

# 3
# Er4CI2Br3
Theoretical X-ray diffraction stick pattern, a wavelength of 1.5418 Å. Input: the GGA-PBE geometry in OQMD.
Neutral-atom scattering factors, no anomalous dispersion.

Structural model:
```
10
Lattice="9.1998 -1.9138 0.0000 9.1998 1.9138 0.0000 -1.7137 0.0000 7.9389" Properties=species:S:1:pos:R:3 pbc="T T T"
Er -0.5038 0.0000 2.3961
Er 6.0331 0.0000 3.4199
Er 10.6528 0.0000 4.5191
Er 17.1896 0.0000 5.5429
C 8.3429 0.0000 3.9695
I 2.6077 0.0000 2.4615
I 14.0781 0.0000 5.4775
Br 1.4601 0.0000 6.6124
Br 9.1998 0.0000 0.0000
Br 15.2257 0.0000 1.3266
```

Principal peaks in the range 15 to 90 degrees two-theta, in order of rising 2θ:
- 2θ 28.66, I 14
- 2θ 29.81, I 43
- 2θ 31.09, I 18
- 2θ 32.14, I 100
- 2θ 34.20, I 30
- 2θ 34.34, I 20
- 2θ 44.24, I 25
- 2θ 44.58, I 35
- 2θ 47.51, I 19
- 2θ 57.10, I 14

# 4
# Er2Sc2CI2Br3
Theoretical X-ray diffraction stick pattern, a wavelength of 1.5418 Å. Input: the GGA-PBE geometry in OQMD.
Neutral-atom scattering factors, no anomalous dispersion.

Structural model:
```
10
Lattice="9.9108 -1.8780 0.0000 9.9108 1.8780 0.0000 -1.5878 0.0000 7.8630" Properties=species:S:1:pos:R:3 pbc="T T T"
Er -0.3023 0.0000 1.5855
Er 18.5362 0.0000 6.2775
Sc 6.1286 0.0000 7.4678
Sc 12.1053 0.0000 0.3952
C 9.9108 0.0000 0.0000
I 2.6229 0.0000 2.5779
I 15.6110 0.0000 5.2851
Br 1.5983 0.0000 6.5186
Br 9.1169 0.0000 3.9315
Br 16.6356 0.0000 1.3444
```

Principal peaks in the range 15 to 90 degrees two-theta, in order of rising 2θ:
- 2θ 22.64, I 39
- 2θ 24.13, I 46
- 2θ 27.54, I 61
- 2θ 32.66, I 100
- 2θ 33.17, I 17
- 2θ 40.41, I 24
- 2θ 43.17, I 31
- 2θ 43.31, I 28
- 2θ 48.47, I 18
- 2θ 56.66, I 15

# 5
# Y2Er2CIBr4
Theoretical X-ray diffraction stick pattern, a wavelength of 1.5418 Å. Input: the GGA-PBE geometry in OQMD.
Neutral-atom scattering factors, no anomalous dispersion.

Structural model:
```
10
Lattice="8.8338 -1.9199 0.0000 8.8338 1.9199 0.0000 -1.9823 0.0000 8.2008" Properties=species:S:1:pos:R:3 pbc="T T T"
Y 2.3290 0.0000 0.5797
Y 13.3563 0.0000 7.6211
Er 8.4579 0.0000 1.5552
Er 7.2275 0.0000 6.6455
C 0.0000 0.0000 0.0000
I -0.9911 0.0000 4.1004
Br 5.5142 0.0000 1.3570
Br 4.5882 0.0000 5.5036
Br 11.0971 0.0000 2.6972
Br 10.1712 0.0000 6.8438
```

Principal peaks in the range 15 to 90 degrees two-theta, in order of rising 2θ:
- 2θ 28.68, I 20
- 2θ 31.25, I 52
- 2θ 31.40, I 21
- 2θ 31.51, I 100
- 2θ 35.05, I 17
- 2θ 39.85, I 18
- 2θ 44.91, I 30
- 2θ 45.03, I 30
- 2θ 47.35, I 20
- 2θ 57.83, I 17

# 6
# Er2Tm2CBr5
Theoretical X-ray diffraction stick pattern, a wavelength of 1.5418 Å. Input: the GGA-PBE geometry in OQMD.
Neutral-atom scattering factors, no anomalous dispersion.

Structural model:
```
10
Lattice="8.8333 -1.8801 0.0000 8.8333 1.8801 0.0000 -1.7801 0.0000 7.8421" Properties=species:S:1:pos:R:3 pbc="T T T"
Er -0.5159 0.0000 2.3543
Er 16.4024 0.0000 5.4878
Tm 5.6574 0.0000 3.3662
Tm 10.2290 0.0000 4.4759
C 7.9432 0.0000 3.9211
Br 1.4060 0.0000 6.5645
Br 2.4198 0.0000 2.5985
Br 8.8333 0.0000 0.0000
Br 13.4666 0.0000 5.2436
Br 14.4805 0.0000 1.2776
```

Principal peaks in the range 15 to 90 degrees two-theta, in order of rising 2θ:
- 2θ 29.28, I 17
- 2θ 31.15, I 43
- 2θ 31.91, I 25
- 2θ 32.60, I 100
- 2θ 34.36, I 15
- 2θ 35.33, I 36
- 2θ 45.61, I 26
- 2θ 45.82, I 25
- 2θ 48.41, I 18
- 2θ 58.70, I 16

# 7
# ErTmC2Br2
Theoretical X-ray diffraction stick pattern, a wavelength of 1.5418 Å. Input: the GGA-PBE geometry in OQMD.
Neutral-atom scattering factors, no anomalous dispersion.

Structural model:
```
12
Lattice="6.9503 0.0000 0.0000 0.0000 3.7259 0.0000 -0.9349 0.0000 10.8404" Properties=species:S:1:pos:R:3 pbc="T T T"
Er 0.0000 0.0000 0.0000
Er 3.4751 1.8630 0.0000
Tm 1.7674 0.0000 2.8406
Tm 5.2425 1.8630 2.8406
C 0.3266 1.8630 1.8057
C 1.4405 1.8630 1.0581
C 3.8017 0.0000 1.8057
C 4.9157 0.0000 1.0581
Br 1.4658 0.0000 8.9626
Br 2.8355 1.8630 4.7041
Br 4.9409 1.8630 8.9626
Br 6.3106 0.0000 4.7041
```

Principal peaks in the range 15 to 90 degrees two-theta, in order of rising 2θ:
- 2θ 16.35, I 23
- 2θ 27.18, I 52
- 2θ 29.39, I 78
- 2θ 31.29, I 40
- 2θ 31.84, I 23
- 2θ 32.47, I 100
- 2θ 37.78, I 43
- 2θ 42.38, I 33
- 2θ 46.27, I 41
- 2θ 49.43, I 23

# 8
# Ho2CBrF
Theoretical X-ray diffraction stick pattern, a wavelength of 1.5418 Å. Input: the GGA-PBE geometry in OQMD.
Neutral-atom scattering factors, no anomalous dispersion.

Structural model:
```
5
Lattice="3.6423 0.0000 0.0000 -1.8211 3.1543 0.0000 0.0000 0.0000 8.3808" Properties=species:S:1:pos:R:3 pbc="T T T"
Ho 0.0000 0.0000 0.0000
Ho 0.0000 2.1029 5.7059
C 1.8211 1.0514 6.9740
Br 0.0000 0.0000 3.6907
F 0.0000 2.1029 0.9982
```

Principal peaks in the range 15 to 90 degrees two-theta, in order of rising 2θ:
- 2θ 28.29, I 34
- 2θ 30.28, I 48
- 2θ 32.04, I 16
- 2θ 35.63, I 100
- 2θ 43.24, I 19
- 2θ 50.09, I 31
- 2θ 52.43, I 17
- 2θ 60.71, I 16
- 2θ 62.97, I 19
- 2θ 84.49, I 17

# 9
# Y2Ho2CBr4F
Theoretical X-ray diffraction stick pattern, a wavelength of 1.5418 Å. Input: the GGA-PBE geometry in OQMD.
Neutral-atom scattering factors, no anomalous dispersion.

Structural model:
```
10
Lattice="8.8038 -1.8332 0.0000 8.8038 1.8332 0.0000 -1.4779 0.0000 7.3389" Properties=species:S:1:pos:R:3 pbc="T T T"
Y 2.3299 0.0000 0.5430
Y 13.7997 0.0000 6.7958
Ho 8.4306 0.0000 1.6426
Ho 7.6989 0.0000 5.6963
C 0.0000 0.0000 0.0000
Br 5.4948 0.0000 1.3977
Br 5.0381 0.0000 4.6630
Br 11.0915 0.0000 2.6758
Br 10.6348 0.0000 5.9412
F -0.7390 0.0000 3.6694
```

Principal peaks in the range 15 to 90 degrees two-theta, in order of rising 2θ:
- 2θ 24.26, I 17
- 2θ 24.41, I 17
- 2θ 24.83, I 39
- 2θ 31.09, I 56
- 2θ 34.24, I 100
- 2θ 35.09, I 17
- 2θ 35.70, I 56
- 2θ 46.65, I 34
- 2θ 47.18, I 28
- 2θ 49.74, I 19

# 10
# Pr4CIBr2F2
Theoretical X-ray diffraction stick pattern, a wavelength of 1.5418 Å. Input: the GGA-PBE geometry in OQMD.
Neutral-atom scattering factors, no anomalous dispersion.

Structural model:
```
10
Lattice="8.8837 -1.9622 0.0000 8.8837 1.9622 0.0000 -1.8686 0.0000 8.5506" Properties=species:S:1:pos:R:3 pbc="T T T"
Pr -0.3124 0.0000 1.7074
Pr 4.6028 0.0000 7.8934
Pr 11.2959 0.0000 0.6572
Pr 16.2111 0.0000 6.8431
C 8.8837 0.0000 0.0000
I 7.9493 0.0000 4.2753
Br 1.4907 0.0000 7.0828
Br 14.4080 0.0000 1.4678
F 2.1408 0.0000 2.0748
F 13.7579 0.0000 6.4758
```

Principal peaks in the range 15 to 90 degrees two-theta, in order of rising 2θ:
- 2θ 25.95, I 16
- 2θ 28.20, I 17
- 2θ 30.60, I 100
- 2θ 30.91, I 37
- 2θ 34.43, I 33
- 2θ 39.36, I 15
- 2θ 43.53, I 25
- 2θ 44.57, I 21
- 2θ 46.27, I 16
- 2θ 63.72, I 15

# 11
# Sm4C2I2BrF2
Theoretical X-ray diffraction stick pattern, a wavelength of 1.5418 Å. Input: the GGA-PBE geometry in OQMD.
Neutral-atom scattering factors, no anomalous dispersion.

Structural model:
```
11
Lattice="9.6173 -1.9360 0.0000 9.6173 1.9360 0.0000 -1.3523 0.0000 7.6550" Properties=species:S:1:pos:R:3 pbc="T T T"
Sm -0.2705 0.0000 1.5612
Sm 18.1527 0.0000 6.0939
Sm 5.4968 0.0000 6.7909
Sm 12.3855 0.0000 0.8642
C 7.5796 0.0000 7.4971
C 10.3027 0.0000 0.1579
I 2.2129 0.0000 6.0806
I 15.6694 0.0000 1.5744
Br 8.9411 0.0000 3.8275
F 2.3635 0.0000 2.1180
F 15.5188 0.0000 5.5370
```

Principal peaks in the range 15 to 90 degrees two-theta, in order of rising 2θ:
- 2θ 25.85, I 21
- 2θ 26.59, I 37
- 2θ 28.27, I 79
- 2θ 32.65, I 100
- 2θ 33.71, I 35
- 2θ 35.17, I 20
- 2θ 43.26, I 46
- 2θ 44.17, I 34
- 2θ 46.93, I 23
- 2θ 55.70, I 23

# 12
# La2Sm2CBrF4
Theoretical X-ray diffraction stick pattern, a wavelength of 1.5418 Å. Input: the GGA-PBE geometry in OQMD.
Neutral-atom scattering factors, no anomalous dispersion.

Structural model:
```
10
Lattice="7.4702 -1.9170 0.0000 7.4702 1.9170 0.0000 -3.9659 0.0000 6.7694" Properties=species:S:1:pos:R:3 pbc="T T T"
La 2.1348 0.0000 1.2925
La 8.8396 0.0000 5.4768
Sm 6.6522 0.0000 1.3899
Sm 4.3223 0.0000 5.3794
C 0.0000 0.0000 0.0000
Br -1.9829 0.0000 3.3847
F 4.5702 0.0000 0.2165
F 2.2837 0.0000 4.1016
F 8.6907 0.0000 2.6677
F 6.4043 0.0000 6.5528
```

Principal peaks in the range 15 to 90 degrees two-theta, in order of rising 2θ:
- 2θ 27.68, I 65
- 2θ 29.28, I 73
- 2θ 29.53, I 72
- 2θ 31.27, I 69
- 2θ 33.30, I 100
- 2θ 33.53, I 88
- 2θ 41.82, I 51
- 2θ 47.42, I 43
- 2θ 48.06, I 68
- 2θ 48.88, I 67

Please write out number 12 again, unchanged.
# La2Sm2CBrF4
Theoretical X-ray diffraction stick pattern, a wavelength of 1.5418 Å. Input: the GGA-PBE geometry in OQMD.
Neutral-atom scattering factors, no anomalous dispersion.

Structural model:
```
10
Lattice="7.4702 -1.9170 0.0000 7.4702 1.9170 0.0000 -3.9659 0.0000 6.7694" Properties=species:S:1:pos:R:3 pbc="T T T"
La 2.1348 0.0000 1.2925
La 8.8396 0.0000 5.4768
Sm 6.6522 0.0000 1.3899
Sm 4.3223 0.0000 5.3794
C 0.0000 0.0000 0.0000
Br -1.9829 0.0000 3.3847
F 4.5702 0.0000 0.2165
F 2.2837 0.0000 4.1016
F 8.6907 0.0000 2.6677
F 6.4043 0.0000 6.5528
```

Principal peaks in the range 15 to 90 degrees two-theta, in order of rising 2θ:
- 2θ 27.68, I 65
- 2θ 29.28, I 73
- 2θ 29.53, I 72
- 2θ 31.27, I 69
- 2θ 33.30, I 100
- 2θ 33.53, I 88
- 2θ 41.82, I 51
- 2θ 47.42, I 43
- 2θ 48.06, I 68
- 2θ 48.88, I 67